Computed powder diffractogram
Compound: Ce6HoS12
Radiation: CuKα
Structure: a crystal structure in Alexandria, relaxed with PBE
Lines closer than 0.1° are merged.

Principal peaks in the range 5° ≤ 2θ ≤ 70°, by intensity:
2θ/deg	d_spacing	I_rel
23.53	3.781	100
38.90	2.315	63
45.96	1.975	41
27.23	3.275	17
61.72	1.503	10
48.12	1.891	9

Atomic structure:
```
Ce6HoS12
1.0
6.1302 3.5393 3.7762
-6.1302 3.5393 3.7762
0.0000 -7.0785 3.7762
Ce Ho S
6 1 12
Direct
0.1186 0.6351 0.8006
0.1994 0.8814 0.3649
0.3649 0.1994 0.8814
0.6351 0.8006 0.1186
0.8006 0.1186 0.6351
0.8814 0.3649 0.1994
0.5000 0.5000 0.5000
0.0672 0.3226 0.9187
0.0813 0.9328 0.6774
0.1762 0.5540 0.4345
0.3226 0.9187 0.0672
0.4345 0.1762 0.5540
0.4460 0.5655 0.8238
0.5540 0.4345 0.1762
0.5655 0.8238 0.4460
0.6774 0.0813 0.9328
0.8238 0.4460 0.5655
0.9187 0.0672 0.3226
0.9328 0.6774 0.0813
```